# 1
For Y12GaCu6, a DFT-relaxed cell (PBE, Alexandria) gives the theoretical XRD peak list in this record (Cu Kα (λ = 1.5418 Å)).
Neutral-atom scattering factors, no anomalous dispersion.

```
data_Y12GaCu6
_chemical_formula_sum 'Y12 Ga1 Cu6'
_cell_length_a 8.5317
_cell_length_b 8.5317
_cell_length_c 8.5317
_cell_angle_alpha 109.47
_cell_angle_beta 109.47
_cell_angle_gamma 109.47
_space_group_name_H-M_alt 'P 1'
_space_group_IT_number 1
loop_
_space_group_symop_operation_xyz
'x,y,z'
loop_
_atom_site_label
_atom_site_type_symbol
_atom_site_fract_x
_atom_site_fract_y
_atom_site_fract_z
_atom_site_occupancy
Y1 Y 0.1079 0.8125 0.2954 1
Y2 Y 0.1875 0.2954 0.4828 1
Y3 Y 0.1875 0.7046 0.8921 1
Y4 Y 0.2954 0.1079 0.8125 1
Y5 Y 0.2954 0.4828 0.1875 1
Y6 Y 0.4828 0.1875 0.2954 1
Y7 Y 0.5172 0.8125 0.7046 1
Y8 Y 0.7046 0.5172 0.8125 1
Y9 Y 0.7046 0.8921 0.1875 1
Y10 Y 0.8125 0.2954 0.1079 1
Y11 Y 0.8125 0.7046 0.5172 1
Y12 Y 0.8921 0.1875 0.7046 1
Ga1 Ga 0.0000 0.0000 0.0000 1
Cu1 Cu 0.1244 0.6244 0.5000 1
Cu2 Cu 0.3756 0.5000 0.8756 1
Cu3 Cu 0.5000 0.1244 0.6244 1
Cu4 Cu 0.5000 0.8756 0.3756 1
Cu5 Cu 0.6244 0.5000 0.1244 1
Cu6 Cu 0.8756 0.3756 0.5000 1
```

Top 10 peaks for 2θ = 10–90°, in order of falling intensity:
| Position (°2θ) | I_rel |
| --- | --- |
| 34.05 | 100.0 |
| 31.46 | 33.7 |
| 57.68 | 24.2 |
| 47.03 | 21.9 |
| 54.30 | 21.6 |
| 36.48 | 16.9 |
| 67.19 | 15.5 |
| 38.78 | 13.5 |
| 84.62 | 13.1 |
| 28.65 | 12.6 |

# 2
For Pa2Al5Zn12, a DFT-relaxed cell (PBE, Alexandria) gives the theoretical XRD peak list in this record (Cu Kα (λ = 1.5418 Å)).
Neutral-atom scattering factors, no anomalous dispersion.

```
data_Pa2Al5Zn12
_chemical_formula_sum 'Pa2 Al5 Zn12'
_cell_length_a 6.8603
_cell_length_b 6.8603
_cell_length_c 6.8603
_cell_angle_alpha 82.57
_cell_angle_beta 82.57
_cell_angle_gamma 82.57
_space_group_name_H-M_alt 'P 1'
_space_group_IT_number 1
loop_
_space_group_symop_operation_xyz
'x,y,z'
loop_
_atom_site_label
_atom_site_type_symbol
_atom_site_fract_x
_atom_site_fract_y
_atom_site_fract_z
_atom_site_occupancy
Pa1 Pa 0.1713 0.1713 0.1713 1
Pa2 Pa 0.8287 0.8287 0.8287 1
Al1 Al 0.0000 0.5000 0.5000 1
Al2 Al 0.4004 0.4004 0.4004 1
Al3 Al 0.5000 0.0000 0.5000 1
Al4 Al 0.5000 0.5000 0.0000 1
Al5 Al 0.5996 0.5996 0.5996 1
Zn1 Zn 0.1417 0.1417 0.6645 1
Zn2 Zn 0.1417 0.6645 0.1417 1
Zn3 Zn 0.2002 0.5000 0.7998 1
Zn4 Zn 0.2002 0.7998 0.5000 1
Zn5 Zn 0.3355 0.8583 0.8583 1
Zn6 Zn 0.5000 0.2002 0.7998 1
Zn7 Zn 0.5000 0.7998 0.2002 1
Zn8 Zn 0.6645 0.1417 0.1417 1
Zn9 Zn 0.7998 0.2002 0.5000 1
Zn10 Zn 0.7998 0.5000 0.2002 1
Zn11 Zn 0.8583 0.3355 0.8583 1
Zn12 Zn 0.8583 0.8583 0.3355 1
```

Top 10 peaks for 2θ = 10–90°, in order of falling intensity:
| Position (°2θ) | I_rel |
| --- | --- |
| 40.03 | 100.0 |
| 28.14 | 40.2 |
| 34.31 | 40.2 |
| 39.83 | 35.7 |
| 13.10 | 27.3 |
| 40.61 | 26.4 |
| 35.35 | 24.9 |
| 26.38 | 21.0 |
| 54.19 | 17.7 |
| 65.31 | 17.5 |

# 3
For Sm7Ag2Pb2, a DFT-relaxed cell (PBE, Alexandria) gives the theoretical XRD peak list in this record (Cu Kα (λ = 1.5418 Å)).
Neutral-atom scattering factors, no anomalous dispersion.

```
data_Sm7Ag2Pb2
_chemical_formula_sum 'Sm7 Ag2 Pb2'
_cell_length_a 7.1856
_cell_length_b 7.1856
_cell_length_c 7.2357
_cell_angle_alpha 90.00
_cell_angle_beta 90.00
_cell_angle_gamma 106.99
_space_group_name_H-M_alt 'P 1'
_space_group_IT_number 1
loop_
_space_group_symop_operation_xyz
'x,y,z'
loop_
_atom_site_label
_atom_site_type_symbol
_atom_site_fract_x
_atom_site_fract_y
_atom_site_fract_z
_atom_site_occupancy
Sm1 Sm 0.0000 0.0000 0.0000 1
Sm2 Sm 0.0000 0.5000 0.2678 1
Sm3 Sm 0.0000 0.5000 0.7322 1
Sm4 Sm 0.5000 0.0000 0.2678 1
Sm5 Sm 0.5000 0.0000 0.7322 1
Sm6 Sm 0.5000 0.5000 0.2450 1
Sm7 Sm 0.5000 0.5000 0.7550 1
Ag1 Ag 0.2830 0.7170 0.0000 1
Ag2 Ag 0.7170 0.2830 0.0000 1
Pb1 Pb 0.1807 0.1807 0.5000 1
Pb2 Pb 0.8193 0.8193 0.5000 1
```

Top 10 peaks for 2θ = 10–90°, in order of falling intensity:
| Position (°2θ) | I_rel |
| --- | --- |
| 36.05 | 100.0 |
| 30.97 | 67.1 |
| 24.18 | 49.4 |
| 27.87 | 44.7 |
| 35.63 | 40.4 |
| 25.93 | 27.3 |
| 60.39 | 27.2 |
| 29.13 | 24.4 |
| 19.67 | 23.4 |
| 32.38 | 23.4 |

# 4
For KSrH, a DFT-relaxed cell (PBE, Alexandria) gives the theoretical XRD peak list in this record (Cu Kα (λ = 1.5418 Å)).
Neutral-atom scattering factors, no anomalous dispersion.

```
data_KSrH
_chemical_formula_sum 'K1 Sr1 H1'
_cell_length_a 4.0805
_cell_length_b 4.0805
_cell_length_c 7.0170
_cell_angle_alpha 90.00
_cell_angle_beta 90.00
_cell_angle_gamma 120.00
_space_group_name_H-M_alt 'P 1'
_space_group_IT_number 1
loop_
_space_group_symop_operation_xyz
'x,y,z'
loop_
_atom_site_label
_atom_site_type_symbol
_atom_site_fract_x
_atom_site_fract_y
_atom_site_fract_z
_atom_site_occupancy
K1 K 0.0000 0.0000 0.0000 1
Sr1 Sr 0.3333 0.6667 0.4755 1
H1 H 0.6667 0.3333 0.2851 1
```

Top 10 peaks for 2θ = 10–90°, in order of falling intensity:
| Position (°2θ) | I_rel |
| --- | --- |
| 28.28 | 100.0 |
| 25.20 | 28.6 |
| 25.39 | 27.1 |
| 36.07 | 24.6 |
| 46.56 | 23.7 |
| 51.84 | 21.4 |
| 12.61 | 18.9 |
| 44.40 | 18.1 |
| 53.48 | 15.7 |
| 71.97 | 12.7 |

# 5
For Na17AlTl11, a DFT-relaxed cell (PBE, Alexandria) gives the theoretical XRD peak list in this record (Cu Kα (λ = 1.5418 Å)).
Neutral-atom scattering factors, no anomalous dispersion.

```
data_Na17AlTl11
_chemical_formula_sum 'Na17 Al1 Tl11'
_cell_length_a 10.3784
_cell_length_b 10.3784
_cell_length_c 10.2275
_cell_angle_alpha 109.28
_cell_angle_beta 109.28
_cell_angle_gamma 109.91
_space_group_name_H-M_alt 'P 1'
_space_group_IT_number 1
loop_
_space_group_symop_operation_xyz
'x,y,z'
loop_
_atom_site_label
_atom_site_type_symbol
_atom_site_fract_x
_atom_site_fract_y
_atom_site_fract_z
_atom_site_occupancy
Na1 Na 0.0000 0.0000 0.0000 1
Na2 Na 0.0741 0.6604 0.3513 1
Na3 Na 0.0765 0.3535 0.6554 1
Na4 Na 0.2463 0.9418 0.2488 1
Na5 Na 0.2514 0.2514 0.9423 1
Na6 Na 0.3255 0.6634 0.6617 1
Na7 Na 0.3513 0.6557 0.0712 1
Na8 Na 0.3535 0.0765 0.6554 1
Na9 Na 0.3843 0.9713 0.9707 1
Na10 Na 0.6557 0.3513 0.0712 1
Na11 Na 0.6604 0.0741 0.3513 1
Na12 Na 0.6615 0.6615 0.6598 1
Na13 Na 0.6634 0.3255 0.6617 1
Na14 Na 0.6665 0.6665 0.3221 1
Na15 Na 0.9418 0.2463 0.2488 1
Na16 Na 0.9713 0.3843 0.9707 1
Na17 Na 0.9832 0.9832 0.3859 1
Al1 Al 0.3007 0.3007 0.4715 1
Tl1 Tl 0.0425 0.6615 0.8517 1
Tl2 Tl 0.0440 0.8535 0.6608 1
Tl3 Tl 0.2770 0.4674 0.2878 1
Tl4 Tl 0.4588 0.4588 0.8248 1
Tl5 Tl 0.4674 0.2770 0.2878 1
Tl6 Tl 0.4687 0.8488 0.4652 1
Tl7 Tl 0.6586 0.8467 0.0406 1
Tl8 Tl 0.6615 0.0425 0.8517 1
Tl9 Tl 0.8467 0.6586 0.0406 1
Tl10 Tl 0.8488 0.4687 0.4652 1
Tl11 Tl 0.8535 0.0440 0.6608 1
```

Top 10 peaks for 2θ = 10–90°, in order of falling intensity:
| Position (°2θ) | I_rel |
| --- | --- |
| 18.16 | 100.0 |
| 31.74 | 54.7 |
| 18.38 | 45.0 |
| 35.10 | 44.9 |
| 18.30 | 38.1 |
| 38.47 | 31.9 |
| 35.65 | 30.7 |
| 31.86 | 26.1 |
| 38.57 | 23.5 |
| 10.46 | 20.2 |

# 6
For Cs2CdHg8, a DFT-relaxed cell (PBE, Alexandria) gives the theoretical XRD peak list in this record (Cu Kα (λ = 1.5418 Å)).
Neutral-atom scattering factors, no anomalous dispersion.

```
data_Cs2CdHg8
_chemical_formula_sum 'Cs2 Cd1 Hg8'
_cell_length_a 6.5586
_cell_length_b 7.4179
_cell_length_c 9.0878
_cell_angle_alpha 71.73
_cell_angle_beta 69.75
_cell_angle_gamma 87.98
_space_group_name_H-M_alt 'P 1'
_space_group_IT_number 1
loop_
_space_group_symop_operation_xyz
'x,y,z'
loop_
_atom_site_label
_atom_site_type_symbol
_atom_site_fract_x
_atom_site_fract_y
_atom_site_fract_z
_atom_site_occupancy
Cs1 Cs 0.1013 0.1902 0.2089 1
Cs2 Cs 0.8988 0.8098 0.7911 1
Cd1 Cd 0.5000 0.0000 0.5000 1
Hg1 Hg 0.1461 0.3663 0.5826 1
Hg2 Hg 0.2687 0.7170 0.0757 1
Hg3 Hg 0.4087 0.1179 0.7986 1
Hg4 Hg 0.4246 0.5643 0.7402 1
Hg5 Hg 0.5754 0.4357 0.2598 1
Hg6 Hg 0.5913 0.8821 0.2014 1
Hg7 Hg 0.7313 0.2830 0.9243 1
Hg8 Hg 0.8539 0.6337 0.4174 1
```

Top 10 peaks for 2θ = 10–90°, in order of falling intensity:
| Position (°2θ) | I_rel |
| --- | --- |
| 31.49 | 100.0 |
| 29.66 | 68.7 |
| 27.26 | 63.3 |
| 28.63 | 45.1 |
| 29.72 | 41.9 |
| 26.99 | 39.8 |
| 30.51 | 30.5 |
| 40.63 | 29.6 |
| 30.86 | 27.4 |
| 14.44 | 27.0 |

# 7
For TbY4Er5, a DFT-relaxed cell (PBE, Alexandria) gives the theoretical XRD peak list in this record (Cu Kα (λ = 1.5418 Å)).
Neutral-atom scattering factors, no anomalous dispersion.

```
data_TbY4Er5
_chemical_formula_sum 'Tb1 Y4 Er5'
_cell_length_a 3.5430
_cell_length_b 6.7047
_cell_length_c 13.9581
_cell_angle_alpha 97.87
_cell_angle_beta 91.63
_cell_angle_gamma 104.67
_space_group_name_H-M_alt 'P 1'
_space_group_IT_number 1
loop_
_space_group_symop_operation_xyz
'x,y,z'
loop_
_atom_site_label
_atom_site_type_symbol
_atom_site_fract_x
_atom_site_fract_y
_atom_site_fract_z
_atom_site_occupancy
Tb1 Tb 0.0000 0.0000 0.0000 1
Y1 Y 0.1422 0.8175 0.2155 1
Y2 Y 0.1568 0.7154 0.8059 1
Y3 Y 0.8432 0.2846 0.1941 1
Y4 Y 0.8578 0.1825 0.7845 1
Er1 Er 0.1961 0.8774 0.5831 1
Er2 Er 0.4768 0.4226 0.6130 1
Er3 Er 0.5000 0.5000 0.0000 1
Er4 Er 0.5232 0.5774 0.3870 1
Er5 Er 0.8039 0.1226 0.4169 1
```

Top 10 peaks for 2θ = 10–90°, in order of falling intensity:
| Position (°2θ) | I_rel |
| --- | --- |
| 32.48 | 100.0 |
| 31.55 | 56.0 |
| 32.72 | 30.6 |
| 29.39 | 23.2 |
| 56.68 | 14.8 |
| 32.95 | 12.7 |
| 49.56 | 11.4 |
| 12.83 | 10.1 |
| 43.79 | 9.8 |
| 43.53 | 9.5 |

# 8
For CePr3Ho3, a DFT-relaxed cell (PBE, Alexandria) gives the theoretical XRD peak list in this record (Cu Kα (λ = 1.5418 Å)).
Neutral-atom scattering factors, no anomalous dispersion.

```
data_CePr3Ho3
_chemical_formula_sum 'Ce2 Pr6 Ho6'
_cell_length_a 8.1711
_cell_length_b 8.1711
_cell_length_c 7.2400
_cell_angle_alpha 90.00
_cell_angle_beta 90.00
_cell_angle_gamma 90.31
_space_group_name_H-M_alt 'P 1'
_space_group_IT_number 1
loop_
_space_group_symop_operation_xyz
'x,y,z'
loop_
_atom_site_label
_atom_site_type_symbol
_atom_site_fract_x
_atom_site_fract_y
_atom_site_fract_z
_atom_site_occupancy
Ce1 Ce 0.2030 0.7970 0.0000 1
Ce2 Ce 0.7970 0.2030 0.0000 1
Pr1 Pr 0.0000 0.5000 0.2470 1
Pr2 Pr 0.0000 0.5000 0.7530 1
Pr3 Pr 0.5000 0.0000 0.2470 1
Pr4 Pr 0.5000 0.0000 0.7530 1
Pr5 Pr 0.5000 0.5000 0.2507 1
Pr6 Pr 0.5000 0.5000 0.7493 1
Ho1 Ho 0.2057 0.2057 0.5000 1
Ho2 Ho 0.2201 0.7799 0.5000 1
Ho3 Ho 0.2216 0.2216 0.0000 1
Ho4 Ho 0.7784 0.7784 0.0000 1
Ho5 Ho 0.7799 0.2201 0.5000 1
Ho6 Ho 0.7943 0.7943 0.5000 1
```

Top 10 peaks for 2θ = 10–90°, in order of falling intensity:
| Position (°2θ) | I_rel |
| --- | --- |
| 33.06 | 100.0 |
| 30.87 | 26.4 |
| 31.04 | 26.0 |
| 32.88 | 15.3 |
| 56.30 | 15.0 |
| 26.94 | 14.4 |
| 44.34 | 14.4 |
| 56.51 | 14.4 |
| 47.42 | 9.5 |
| 47.23 | 9.1 |